The following is a calculated PXRD pattern of CrH12C8S2N2O2. It was derived from a cell relaxed with GGA+U, using Cu Kα, 1.54184 Å.
Intensities are scaled so that the largest is 100.

Principal peaks in the range 10° ≤ 2θ ≤ 80°, sorted by position:
7.624 Å, rel. 100; 6.373 Å, rel. 46; 5.120 Å, rel. 21; 4.170 Å, rel. 43; 3.812 Å, rel. 34; 3.309 Å, rel. 57; 3.186 Å, rel. 26; 2.376 Å, rel. 21

```
data_CrH12C8S2N2O2
_chemical_formula_sum 'Cr1 H12 C8 S2 N2 O2'
_symmetry_space_group_name_H-M 'P -1'
_symmetry_Int_Tables_number 2
_cell_length_a 5.913
_cell_length_b 8.013
_cell_length_c 8.056
_cell_angle_alpha 105.04
_cell_angle_beta 99.60
_cell_angle_gamma 96.62
loop_
_symmetry_equiv_pos_as_xyz
'x,y,z'
'-x,-y,-z'
loop_
_atom_site_label
_atom_site_fract_x
_atom_site_fract_y
_atom_site_fract_z
_atom_site_occupancy
Cr1 0.000 0.000 0.000 1
H1 0.044 0.739 0.506 1
H2 0.075 0.546 0.353 1
H3 0.191 0.365 0.677 1
H4 0.394 0.666 0.191 1
H5 0.433 0.899 0.232 1
H6 0.451 0.798 0.410 1
C1 0.001 0.334 0.635 1
C2 0.106 0.775 0.265 1
C3 0.362 0.790 0.276 1
C4 0.387 0.800 0.830 1
S1 0.393 0.274 0.240 1
N1 0.225 0.855 0.880 1
O1 0.020 0.151 0.823 1
```